Record 1
Starting from a cell relaxed with GGA-PBE, the powder diffractogram of BeHg2I6 was calculated for Cu Kα.

Peak list (8 most intense, 10 to 90 degrees two-theta, by angle)
d [Å]	I_rel
7.083	70
6.837	46
5.229	66
3.876	41
3.573	100
3.562	49
3.355	47
2.361	51

Atomic structure:
abc: 11.166 11.166 7.617
angles: 109.87 109.87 87.94
Fractional coordinates of all 18 atoms:
Be 0.243 0.757 0.750
Be 0.757 0.243 0.250
Hg 0.173 0.339 0.542
Hg 0.339 0.173 0.042
Hg 0.661 0.827 0.958
Hg 0.827 0.661 0.458
I 0.065 0.752 0.455
I 0.168 0.353 0.177
I 0.240 0.581 0.867
I 0.248 0.935 0.045
I 0.353 0.168 0.677
I 0.419 0.760 0.633
I 0.581 0.240 0.367
I 0.647 0.832 0.323
I 0.752 0.065 0.955
I 0.760 0.419 0.133
I 0.832 0.647 0.823
I 0.935 0.248 0.545

***

Record 2
Starting from a cell relaxed with GGA-PBE, the powder diffractogram of Ca3Ac3Cu4 was calculated for Cu Kα.

Peak list (8 most intense, 10 to 90 degrees two-theta, by angle)
d [Å]	I_rel
8.273	28
5.933	42
3.659	31
2.964	55
2.808	81
2.773	100
2.638	25
2.595	24

Atomic structure:
abc: 4.249 8.276 8.276
angles: 88.40 90.00 90.00
Fractional coordinates of all 10 atoms:
Ca 0.000 0.000 0.000
Ca 0.500 0.321 0.837
Ca 0.500 0.837 0.321
Ac 0.000 0.165 0.497
Ac 0.000 0.497 0.165
Ac 0.000 0.668 0.668
Cu 0.500 0.212 0.212
Cu 0.500 0.452 0.452
Cu 0.500 0.719 0.950
Cu 0.500 0.950 0.719

***

Record 3
Starting from a cell relaxed with GGA-PBE, the powder diffractogram of NaPrBi4O8 was calculated for Cu Kα.

Peak list (8 most intense, 10 to 90 degrees two-theta, by angle)
d [Å]	I_rel
5.817	45
3.100	51
3.053	100
3.030	76
2.908	69
2.536	48
1.813	50
1.775	47

Atomic structure:
abc: 7.253 7.253 7.253
angles: 58.60 58.60 58.60
Fractional coordinates of all 14 atoms:
Na 0.000 0.000 0.000
Pr 0.620 0.620 0.620
Bi 0.110 0.621 0.621
Bi 0.244 0.244 0.244
Bi 0.621 0.110 0.621
Bi 0.621 0.621 0.110
O 0.368 0.368 0.368
O 0.384 0.384 0.852
O 0.384 0.852 0.384
O 0.422 0.859 0.859
O 0.851 0.851 0.851
O 0.852 0.384 0.384
O 0.859 0.422 0.859
O 0.859 0.859 0.422

***

Record 4
Starting from a cell relaxed with GGA-PBE, the powder diffractogram of NaCd9Ga2 was calculated for Cu Kα.

Peak list (8 most intense, 10 to 90 degrees two-theta, by angle)
d [Å]	I_rel
6.528	17
6.005	21
2.717	69
2.685	38
2.334	32
2.295	100
2.210	19
1.556	19

Atomic structure:
abc: 9.340 9.340 9.340
angles: 99.98 99.98 130.80
Fractional coordinates of all 24 atoms:
Na 0.375 0.625 0.750
Na 0.625 0.375 0.250
Cd 0.115 0.549 0.325
Cd 0.115 0.791 0.567
Cd 0.125 0.875 0.250
Cd 0.209 0.276 0.325
Cd 0.209 0.885 0.933
Cd 0.276 0.209 0.825
Cd 0.276 0.451 0.067
Cd 0.451 0.276 0.567
Cd 0.451 0.885 0.175
Cd 0.549 0.115 0.825
Cd 0.549 0.724 0.433
Cd 0.724 0.549 0.933
Cd 0.724 0.791 0.175
Cd 0.791 0.115 0.067
Cd 0.791 0.724 0.675
Cd 0.875 0.125 0.750
Cd 0.885 0.209 0.433
Cd 0.885 0.451 0.675
Ga 0.000 0.000 0.000
Ga 0.000 0.000 0.500
Ga 0.000 0.500 0.000
Ga 0.500 0.000 0.500

***

Record 5
Starting from a cell relaxed with GGA-PBE, the powder diffractogram of La8NdSm3 was calculated for Cu Kα.

Peak list (8 most intense, 10 to 90 degrees two-theta, by angle)
d [Å]	I_rel
2.956	97
2.925	28
2.892	100
2.622	34
2.079	20
1.852	21
1.706	20
1.446	20

Atomic structure:
abc: 8.887 8.887 8.887
angles: 134.87 100.38 96.56
Fractional coordinates of all 12 atoms:
La 0.084 0.250 0.834
La 0.273 0.224 0.497
La 0.273 0.776 0.050
La 0.416 0.250 0.166
La 0.584 0.750 0.834
La 0.727 0.224 0.950
La 0.727 0.776 0.503
La 0.916 0.750 0.166
Nd 0.000 0.000 0.000
Sm 0.265 0.765 0.500
Sm 0.500 0.500 0.000
Sm 0.735 0.235 0.500

***

Record 6
Starting from a cell relaxed with GGA-PBE, the powder diffractogram of NbTe6Os was calculated for Cu Kα.

Peak list (8 most intense, 10 to 90 degrees two-theta, by angle)
d [Å]	I_rel
4.941	70
3.080	52
3.024	100
2.853	54
2.840	75
2.823	66
1.994	49
1.918	51

Atomic structure:
abc: 6.503 6.782 6.796
angles: 88.06 61.82 62.44
Fractional coordinates of all 8 atoms:
Nb 0.000 0.000 0.000
Te 0.115 0.099 0.310
Te 0.161 0.293 0.782
Te 0.498 0.584 0.794
Te 0.502 0.416 0.206
Te 0.839 0.707 0.218
Te 0.885 0.901 0.690
Os 0.000 0.500 0.500